This entry pairs a crystal structure of YV4Cu3O12 with its theoretical powder diffractogram. Radiation: copper Kα. Structure: a DFT-relaxed cell (GGA+U, Alexandria).

The 10 most intense peaks (10 to 90 degrees two-theta), low angle first:
- 2θ 34.10, I = 100
- 2θ 34.27, I = 97
- 2θ 49.12, I = 56
- 2θ 61.04, I = 24
- 2θ 61.15, I = 47
- 2θ 61.48, I = 23
- 2θ 71.80, I = 12
- 2θ 72.21, I = 13
- 2θ 82.03, I = 16
- 2θ 82.32, I = 15

Crystal structure
```
data_YV4Cu3O12
_space_group_name_H-M_alt 'R -3'
_space_group_IT_number 148
_space_group_name_Hall '-R 3'
_cell_length_a 10.5174
_cell_length_b 10.5174
_cell_length_c 6.3934
_cell_angle_alpha 90.00
_cell_angle_beta 90.00
_cell_angle_gamma 120.00
loop_
_atom_site_label
_atom_site_fract_x
_atom_site_fract_y
_atom_site_fract_z
Y1 0.0000 0.0000 0.0000
V1 0.0000 0.0000 0.5000
V2 0.0000 0.5000 0.5000
Cu1 0.0000 0.5000 0.0000
O1 0.0187 0.1588 0.6829
O2 0.0421 0.2570 0.0756
```